For Nd4In8Ni7, a DFT-relaxed cell (GGA-PBE, the Materials Project) gives the computed PXRD pattern in this record (Cu Kα).
Peak positions follow from Bragg's law for the DFT cell and can differ from measured ones.

Structural model:
```
Nd4In8Ni7
1.0
7.363 -12.067 0.000
7.363 12.067 0.000
0.000 0.000 4.345
Nd In Ni
8 16 14
direct
0.106 0.894 0.000 Nd
0.152 0.505 0.500 Nd
0.316 0.316 0.500 Nd
0.495 0.848 0.500 Nd
0.505 0.152 0.500 Nd
0.684 0.684 0.500 Nd
0.848 0.495 0.500 Nd
0.894 0.106 0.000 Nd
0.000 0.000 0.500 In
0.057 0.625 0.000 In
0.131 0.319 0.000 In
0.223 0.777 0.500 In
0.311 0.689 0.000 In
0.319 0.131 0.000 In
0.375 0.943 0.000 In
0.413 0.587 0.500 In
0.500 0.500 0.000 In
0.587 0.413 0.500 In
0.625 0.057 0.000 In
0.681 0.869 0.000 In
0.689 0.311 0.000 In
0.777 0.223 0.500 In
0.869 0.681 0.000 In
0.943 0.375 0.000 In
0.016 0.708 0.500 Ni
0.089 0.198 0.500 Ni
0.122 0.122 0.000 Ni
0.198 0.089 0.500 Ni
0.292 0.984 0.500 Ni
0.309 0.498 0.000 Ni
0.498 0.309 0.000 Ni
0.502 0.691 0.000 Ni
0.691 0.502 0.000 Ni
0.708 0.016 0.500 Ni
0.802 0.911 0.500 Ni
0.878 0.878 0.000 Ni
0.911 0.802 0.500 Ni
0.984 0.292 0.500 Ni
```

Main lines, most intense first (15 to 90 degrees two-theta):
d 2.698, 2θ = 33.21°, intensity 100; d 2.174, 2θ = 41.55°, intensity 59; d 2.740, 2θ = 32.69°, intensity 33; d 2.952, 2θ = 30.28°, intensity 23; d 2.454, 2θ = 36.61°, intensity 20; d 1.460, 2θ = 63.77°, intensity 16; d 2.426, 2θ = 37.06°, intensity 16; d 2.546, 2θ = 35.24°, intensity 15; d 2.514, 2θ = 35.71°, intensity 13; d 2.413, 2θ = 37.26°, intensity 12; d 1.627, 2θ = 56.57°, intensity 11; d 2.110, 2θ = 42.86°, intensity 11